Entry 1:
Diffraction record for Rb2AlBiBr6. The powder X-ray diffraction pattern is theoretical, not measured: it uses DFT lattice parameters and positions (PBE) and Cu Kα.
No peak broadening, texture or thermal motion is included.

Structure:
Lattice parameters (Å, degrees): 11.360 11.360 11.360 90.00 90.00 90.00
Space group Fm-3m (No. 225)
Unique sites:
Rb (0.250, 0.250, 0.250) (multiplicity 8)
Al (0.000, 0.000, 0.000) (multiplicity 4)
Bi (0.000, 0.000, 0.500) (multiplicity 4)
Br (0.000, 0.000, 0.239) (multiplicity 24)

Peak list (12 most intense, 2θ from 15° to 90°, low angle first)
2theta  d [Å]  I_rel
15.6  5.680  35
22.1  4.016  36
26.0  3.425  29
27.2  3.279  46
31.5  2.840  100
34.4  2.606  22
35.3  2.540  18
45.2  2.008  72
53.5  1.713  18
56.1  1.640  25
74.7  1.270  31
83.4  1.159  23


Entry 2:
Diffraction record for Ca5AlBi4. The powder X-ray diffraction pattern is theoretical, not measured: it uses DFT lattice parameters and positions (PBE) and Cu Kα.
No peak broadening, texture or thermal motion is included.

Structure:
Lattice parameters (Å, degrees): 16.862 5.352 7.702 90.00 91.37 90.00
Space group C2/m (No. 12)
Unique sites:
Ca (0.000, 0.000, 0.000) (multiplicity 2)
Ca (0.154, 0.500, 0.493) (multiplicity 4)
Ca (0.163, 0.500, 0.017) (multiplicity 4)
Al (0.000, 0.000, 0.500) (multiplicity 2)
Bi (0.010, 0.500, 0.754) (multiplicity 4)
Bi (0.187, 0.000, 0.252) (multiplicity 4)

Peak list (12 most intense, 2θ from 15° to 90°, low angle first)
2theta  d [Å]  I_rel
17.4  5.101  32
20.8  4.267  46
21.0  4.239  41
22.9  3.876  65
23.1  3.850  36
24.3  3.660  31
31.9  2.810  50
32.5  2.754  100
33.1  2.709  93
33.5  2.676  50
41.1  2.197  35
46.9  1.938  34


Entry 3:
Diffraction record for Ca2AlBiO5. The powder X-ray diffraction pattern is theoretical, not measured: it uses DFT lattice parameters and positions (PBE) and Cu Kα.
No peak broadening, texture or thermal motion is included.

Structure:
Lattice parameters (Å, degrees): 16.470 5.993 5.702 90.00 109.10 90.00
Space group Cc (No. 9)
Unique sites:
Ca (0.000, 0.225, 0.000) (multiplicity 4)
Ca (0.236, 0.240, 0.250) (multiplicity 4)
Al (0.112, 0.314, 0.645) (multiplicity 4)
Bi (0.351, 0.256, 0.897) (multiplicity 4)
O (0.023, 0.141, 0.630) (multiplicity 4)
O (0.101, 0.445, 0.341) (multiplicity 4)
O (0.206, 0.148, 0.787) (multiplicity 4)
O (0.292, 0.479, 0.562) (multiplicity 4)
O (0.372, 0.122, 0.299) (multiplicity 4)

Peak list (12 most intense, 2θ from 15° to 90°, low angle first)
2theta  d [Å]  I_rel
21.5  4.131  53
22.9  3.891  25
24.2  3.671  38
24.5  3.627  46
29.8  2.996  36
31.4  2.852  100
31.8  2.812  58
32.0  2.796  23
43.8  2.065  34
50.3  1.812  17
53.9  1.701  17
56.4  1.631  23


Entry 4:
Diffraction record for AlCd4Bi. The powder X-ray diffraction pattern is theoretical, not measured: it uses DFT lattice parameters and positions (PBE) and Cu Kα.
No peak broadening, texture or thermal motion is included.

Structure:
Lattice parameters (Å, degrees): 8.414 8.414 8.414 90.00 90.00 90.00
Space group F-43m (No. 216)
Unique sites:
Al (0.000, 0.000, 0.000) (multiplicity 4)
Cd (0.125, 0.125, 0.625) (multiplicity 16)
Bi (0.250, 0.250, 0.250) (multiplicity 4)

Peak list (12 most intense, 2θ from 15° to 90°, low angle first)
2theta  d [Å]  I_rel
18.3  4.858  19
21.1  4.207  17
30.0  2.975  24
35.4  2.537  100
37.0  2.429  42
48.4  1.881  8
53.3  1.718  10
56.9  1.619  34
62.4  1.487  26
73.9  1.283  12
74.9  1.268  15
89.5  1.095  22


Entry 5:
Diffraction record for Al2BiCl8. The powder X-ray diffraction pattern is theoretical, not measured: it uses DFT lattice parameters and positions (PBE) and Cu Kα.
No peak broadening, texture or thermal motion is included.

Structure:
Lattice parameters (Å, degrees): 12.726 7.958 7.903 90.00 93.70 90.00
Space group C2/m (No. 12)
Unique sites:
Al (0.199, 0.000, 0.191) (multiplicity 4)
Bi (0.000, 0.000, 0.500) (multiplicity 2)
Cl (0.112, 0.214, 0.300) (multiplicity 8)
Cl (0.143, 0.500, 0.710) (multiplicity 4)
Cl (0.175, 0.000, 0.924) (multiplicity 4)

Peak list (12 most intense, 2θ from 15° to 90°, low angle first)
2theta  d [Å]  I_rel
17.6  5.041  100
18.5  4.797  76
22.3  3.979  32
25.8  3.454  64
26.6  3.354  47
27.0  3.305  59
28.4  3.139  90
34.4  2.607  30
36.3  2.478  36
37.5  2.400  31
41.4  2.182  39
49.7  1.836  31


Entry 6:
Diffraction record for Al2Cu2Bi2S3Cl8. The powder X-ray diffraction pattern is theoretical, not measured: it uses DFT lattice parameters and positions (PBE) and Cu Kα.
No peak broadening, texture or thermal motion is included.

Structure:
Lattice parameters (Å, degrees): 6.5980 6.5980 25.8775 90.00 90.00 120.00
Space group P6_3/m (No. 176)
Unique sites:
Al (0.3333, 0.6667, 0.0857) (multiplicity 4)
Cu (0.0000, 0.0000, 0.2500) (multiplicity 2)
Cu (0.3333, 0.6667, 0.2500) (multiplicity 2)
Bi (0.3333, 0.6667, 0.6830) (multiplicity 4)
S (0.0159, 0.3488, 0.7500) (multiplicity 6)
Cl (0.0540, 0.3401, 0.1184) (multiplicity 12)
Cl (0.3333, 0.6667, 0.0048) (multiplicity 4)

Peak list (12 most intense, 2θ from 15° to 90°, low angle first)
2theta  d [Å]  I_rel
15.5  5.714  55
15.9  5.580  92
23.2  3.836  52
25.9  3.442  29
27.0  3.299  80
27.9  3.197  39
28.8  3.104  100
31.5  2.840  32
34.9  2.568  31
35.9  2.501  29
47.8  1.905  51
48.8  1.865  43


Entry 7:
Diffraction record for AlBiTeCl4. The powder X-ray diffraction pattern is theoretical, not measured: it uses DFT lattice parameters and positions (PBE) and Cu Kα.
No peak broadening, texture or thermal motion is included.

Structure:
Lattice parameters (Å, degrees): 12.801 12.801 11.688 90.00 90.00 90.00
Space group I-4 (No. 82)
Unique sites:
Al (0.088, 0.302, 0.034) (multiplicity 8)
Bi (0.055, 0.158, 0.377) (multiplicity 8)
Te (0.054, 0.154, 0.638) (multiplicity 8)
Cl (0.055, 0.642, 0.964) (multiplicity 8)
Cl (0.065, 0.150, 0.116) (multiplicity 8)
Cl (0.096, 0.652, 0.334) (multiplicity 8)
Cl (0.203, 0.285, 0.898) (multiplicity 8)

Peak list (12 most intense, 2θ from 15° to 90°, low angle first)
2theta  d [Å]  I_rel
22.0  4.048  49
23.9  3.727  71
26.2  3.397  57
29.8  3.001  54
30.6  2.922  39
31.2  2.862  100
32.2  2.781  38
34.2  2.624  37
37.0  2.428  33
38.0  2.369  32
44.3  2.045  65
44.8  2.024  36


Entry 8:
Diffraction record for Cs2AlBiSe4. The powder X-ray diffraction pattern is theoretical, not measured: it uses DFT lattice parameters and positions (PBE) and Cu Kα.
No peak broadening, texture or thermal motion is included.

Structure:
Lattice parameters (Å, degrees): 6.729 15.097 26.007 90.00 90.00 90.00
Space group Fddd (No. 70, origin choice 2)
Unique sites:
Cs (0.125, 0.125, 0.305) (multiplicity 16)
Al (0.125, 0.125, 0.625) (multiplicity 8)
Bi (0.125, 0.125, 0.125) (multiplicity 8)
Se (0.081, 0.279, 0.822) (multiplicity 32)

Peak list (12 most intense, 2θ from 15° to 90°, low angle first)
2theta  d [Å]  I_rel
22.3  3.980  64
23.7  3.761  52
24.4  3.654  25
28.0  3.184  100
29.1  3.073  25
32.7  2.739  15
33.7  2.658  35
41.5  2.175  37
44.0  2.058  17
44.4  2.040  24
45.0  2.015  25
47.7  1.906  15